No. 1
Computed XRD peak list
Compound: CaBi4O8
Radiation: Cu Kα X-rays
Structure: a cell relaxed with PBE
Neutral-atom scattering factors, no anomalous dispersion.

Structure:
abc: 14.051 3.468 10.434
angles: 90.00 116.67 90.00
Space group Cm (No. 8)
Asymmetric unit:
Ca1 0.000 0.000 0.000 x2
Bi1 0.208 0.500 0.320 x2
Bi2 0.221 0.000 0.956 x2
Bi3 0.479 0.500 0.305 x2
Bi4 0.488 0.000 0.657 x2
O1 0.032 0.500 0.181 x2
O2 0.046 0.500 0.885 x2
O3 0.097 0.000 0.693 x2
O4 0.150 0.000 0.411 x2
O5 0.193 0.000 0.150 x2
O6 0.335 0.500 0.009 x2
O7 0.382 0.500 0.623 x2
O8 0.454 0.000 0.434 x2

Main lines, in order of rising 2θ (10° ≤ 2θ ≤ 90°):
(2 0 -1), 2θ 12.99, intensity 47.9; (2 0 -2), 2θ 17.90, intensity 76.2; (4 0 0), 2θ 28.45, intensity 91.1; (0 0 3), 2θ 28.73, intensity 80.5; (1 1 1), 2θ 29.44, intensity 97.8; (4 0 -3), 2θ 30.04, intensity 54.8; (1 1 -2), 2θ 31.00, intensity 62.9; (3 1 -1), 2θ 32.11, intensity 100.0; (3 1 -4), 2θ 43.62, intensity 83.1; (0 2 0), 2θ 52.77, intensity 43.3



No. 2
Computed XRD peak list
Compound: AcTb7Ho3
Radiation: Cu Kα X-rays
Structure: a cell relaxed with PBE
Neutral-atom scattering factors, no anomalous dispersion.

Structure:
abc: 7.1221 7.1221 8.6670
angles: 90.00 90.00 120.00
Space group P3m1 (No. 156)
Asymmetric unit:
Ac1 0.0000 0.0000 0.0000 x1
Tb1 0.0027 0.5014 0.9963 x3
Tb2 0.3328 0.1664 0.3338 x3
Tb3 0.3333 0.6667 0.3279 x1
Ho1 0.1686 0.3371 0.6589 x3

Main lines, in order of rising 2θ (10° ≤ 2θ ≤ 90°):
(2 0 1), 2θ 30.77, intensity 100.0; (0 0 3), 2θ 30.95, intensity 32.4; (0 2 2), 2θ 35.73, intensity 67.0; (2 2 0), 2θ 51.31, intensity 23.9; (2 0 4), 2θ 51.55, intensity 23.9; (0 4 1), 2θ 61.04, intensity 14.4; (2 2 3), 2θ 61.14, intensity 28.2; (0 2 5), 2θ 61.35, intensity 14.0; (4 0 2), 2θ 64.10, intensity 12.3; (4 2 1), 2θ 83.72, intensity 12.0